# 1
The following is a calculated PXRD pattern of MnFeBr5. It was derived from a crystal structure in Alexandria, relaxed with PBE, using copper Kα.

Structural model:
```
data_MnFeBr5
_cell_length_a 15.609
_cell_length_b 7.536
_cell_length_c 9.112
_cell_angle_alpha 90.00
_cell_angle_beta 90.00
_cell_angle_gamma 90.00
_symmetry_space_group_name_H-M 'P n m a'
_symmetry_Int_Tables_number 62
loop_
_symmetry_equiv_pos_as_xyz
'x,y,z'
'-x,-y,-z'
'-x+1/2,-y,z+1/2'
'x+1/2,y,-z+1/2'
'x+1/2,-y+1/2,-z+1/2'
'-x+1/2,y+1/2,z+1/2'
'-x,y+1/2,-z'
'x,-y+1/2,z'
loop_
_atom_site_label
_atom_site_fract_x
_atom_site_fract_y
_atom_site_fract_z
Mn1 0.052 0.250 0.165
Fe1 0.155 0.750 0.477
Br1 0.000 0.000 0.000
Br2 0.106 0.750 0.721
Br3 0.112 0.016 0.360
Br4 0.194 0.250 0.987
```

Largest 10 diffraction maxima, low angle first, 10° ≤ 2θ ≤ 90°:
| 2θ (°) | I/Imax |
| --- | --- |
| 11.33 | 23.7 |
| 15.26 | 48.7 |
| 16.29 | 100.0 |
| 19.65 | 34.7 |
| 28.06 | 38.1 |
| 30.26 | 38.5 |
| 32.91 | 35.5 |
| 35.40 | 30.9 |
| 38.50 | 25.6 |
| 52.46 | 27.2 |


# 2
The following is a calculated PXRD pattern of Ce3Pr2Pt4. It was derived from a crystal structure in Alexandria, relaxed with PBE, using copper Kα.

Structural model:
```
data_Ce3Pr2Pt4
_cell_length_a 7.999
_cell_length_b 7.797
_cell_length_c 7.647
_cell_angle_alpha 90.00
_cell_angle_beta 110.30
_cell_angle_gamma 90.00
_symmetry_space_group_name_H-M 'P 1 21/c 1'
_symmetry_Int_Tables_number 14
loop_
_symmetry_equiv_pos_as_xyz
'x,y,z'
'-x,-y,-z'
'-x,y+1/2,-z+1/2'
'x,-y+1/2,z+1/2'
loop_
_atom_site_label
_atom_site_fract_x
_atom_site_fract_y
_atom_site_fract_z
Ce1 0.000 0.000 0.000
Ce2 0.259 0.161 0.756
Pr1 0.309 0.677 0.932
Pt1 0.001 0.133 0.367
Pt2 0.419 0.044 0.154
```

Largest 10 diffraction maxima, low angle first, 10° ≤ 2θ ≤ 90°:
| 2θ (°) | I/Imax |
| --- | --- |
| 30.13 | 38.6 |
| 30.43 | 26.3 |
| 32.34 | 100.0 |
| 32.63 | 20.9 |
| 32.98 | 34.0 |
| 33.14 | 29.6 |
| 33.26 | 76.9 |
| 35.93 | 49.3 |
| 36.78 | 44.5 |
| 37.12 | 76.3 |